# PmPr2Y4Tm2
Computed powder diffraction line list, copper Kα. Input: a DFT-relaxed cell (PBE, Alexandria).
Neutral-atom scattering factors, no anomalous dispersion.

Top 10 peaks for 10 to 90 degrees two-theta, most intense first:
hkl 1 0 -2, 31.45°, 2.845 Å, I 100; hkl 0 2 1, 31.32°, 2.856 Å, I 57; hkl 1 1 3, 32.03°, 2.794 Å, I 51; hkl 1 2 -1, 31.96°, 2.800 Å, I 46; hkl 2 1 1, 29.67°, 3.011 Å, I 42; hkl 0 1 -4, 47.21°, 1.925 Å, I 18; hkl 0 0 1, 10.78°, 8.205 Å, I 17; hkl 2 0 1, 32.79°, 2.731 Å, I 15; hkl 1 1 -1, 23.33°, 3.813 Å, I 14; hkl 2 -1 0, 42.84°, 2.111 Å, I 14

Crystal structure
```
9
Lattice="6.0256 0.0000 0.0000 2.8061 6.0317 0.0000 2.9024 0.2332 8.2045" Properties=species:S:1:pos:R:3 pbc="T T T"
Pm 0.0000 0.0000 0.0000
Pr 5.4208 4.2437 5.3709
Pr 6.3133 2.0212 2.8336
Y 3.0796 2.5762 0.9571
Y 5.4594 5.2962 1.9740
Y 6.2747 0.9688 6.2305
Y 8.6545 3.6887 7.2474
Tm 3.3392 1.5320 4.5320
Tm 8.3949 4.7329 3.6725
```